1.
For AlFe2Bi, a DFT-relaxed cell (GGA-PBE, OQMD) gives the theoretical powder X-ray diffraction pattern in this record (copper Kα).
Intensities are scaled so that the largest is 100.

Top 12 peaks for 2θ from 10° to 90°, by intensity:
39.71°, rel. 100; 31.15°, rel. 48; 72.07°, rel. 27; 13.79°, rel. 20; 27.79°, rel. 20; 24.01°, rel. 19; 42.23°, rel. 19; 59.36°, rel. 17; 64.97°, rel. 15; 57.42°, rel. 14; 80.58°, rel. 10; 66.78°, rel. 9

Structural model:
```
16
Lattice="6.4197 0.0000 0.0000 0.0000 6.4197 0.0000 0.0000 0.0000 6.4197" Properties=species:S:1:pos:R:3 pbc="T T T"
Al 0.0000 0.0000 0.0000
Al 0.0000 0.0000 3.2098
Al 0.0000 3.2098 0.0000
Al 3.2098 0.0000 0.0000
Fe 1.3530 1.3530 1.3530
Fe 1.3530 1.3530 5.0667
Fe 1.3530 5.0667 1.3530
Fe 1.3530 5.0667 5.0667
Fe 5.0667 1.3530 1.3530
Fe 5.0667 1.3530 5.0667
Fe 5.0667 5.0667 1.3530
Fe 5.0667 5.0667 5.0667
Bi 0.0000 3.2098 3.2098
Bi 3.2098 0.0000 3.2098
Bi 3.2098 3.2098 0.0000
Bi 3.2098 3.2098 3.2098
```

2.
For AlFe2Bi, a DFT-relaxed cell (GGA-PBE, OQMD) gives the theoretical powder X-ray diffraction pattern in this record (copper Kα).
Intensities are scaled so that the largest is 100.

Top 12 peaks for 2θ from 10° to 90°, by intensity:
39.73°, rel. 100; 31.17°, rel. 48; 72.11°, rel. 27; 13.80°, rel. 20; 27.81°, rel. 20; 24.02°, rel. 19; 42.25°, rel. 19; 59.39°, rel. 17; 65.00°, rel. 15; 57.45°, rel. 14; 80.63°, rel. 10; 66.81°, rel. 9

Structural model:
```
16
Lattice="6.4166 0.0000 0.0000 0.0000 6.4166 0.0000 0.0000 0.0000 6.4166" Properties=species:S:1:pos:R:3 pbc="T T T"
Al 0.0000 0.0000 0.0000
Al 0.0000 0.0000 3.2083
Al 0.0000 3.2083 0.0000
Al 3.2083 0.0000 0.0000
Fe 1.3518 1.3518 1.3518
Fe 1.3518 1.3518 5.0648
Fe 1.3518 5.0648 1.3518
Fe 1.3518 5.0648 5.0648
Fe 5.0648 1.3518 1.3518
Fe 5.0648 1.3518 5.0648
Fe 5.0648 5.0648 1.3518
Fe 5.0648 5.0648 5.0648
Bi 0.0000 3.2083 3.2083
Bi 3.2083 0.0000 3.2083
Bi 3.2083 3.2083 0.0000
Bi 3.2083 3.2083 3.2083
```

3.
For Tm5Al2Bi, a DFT-relaxed cell (GGA-PBE, OQMD) gives the theoretical powder X-ray diffraction pattern in this record (copper Kα).
Intensities are scaled so that the largest is 100.

Top 12 peaks for 2θ from 10° to 90°, by intensity:
32.44°, rel. 100; 34.79°, rel. 95; 32.25°, rel. 57; 25.42°, rel. 53; 35.91°, rel. 47; 55.97°, rel. 32; 53.46°, rel. 28; 31.02°, rel. 22; 65.49°, rel. 20; 50.03°, rel. 18; 56.79°, rel. 18; 69.68°, rel. 16

Structural model:
```
16
Lattice="-4.0767 4.0767 6.3343 4.0767 -4.0767 6.3343 4.0767 4.0767 -6.3343" Properties=species:S:1:pos:R:3 pbc="T T T"
Tm 0.0000 0.0000 0.0000
Tm 5.3288 1.2521 -1.8321
Tm 1.2521 2.8247 -1.8321
Tm 5.3288 1.2521 1.8321
Tm 1.2521 2.8247 1.8321
Tm 0.0000 0.0000 6.3343
Tm 2.8247 1.2521 4.5021
Tm -1.2521 2.8247 4.5021
Tm 2.8247 1.2521 8.1664
Tm -1.2521 2.8247 8.1664
Al 2.9076 1.1692 0.0000
Al 2.9076 -1.1692 6.3343
Al 1.1692 5.2459 0.0000
Al 1.1692 2.9076 6.3343
Bi 0.0000 0.0000 3.1671
Bi 0.0000 0.0000 9.5014
```

4.
For AlCuBrCl3, a DFT-relaxed cell (GGA-PBE, OQMD) gives the theoretical powder X-ray diffraction pattern in this record (copper Kα).
Intensities are scaled so that the largest is 100.

Top 12 peaks for 2θ from 10° to 90°, by intensity:
28.31°, rel. 100; 17.75°, rel. 73; 17.66°, rel. 73; 27.86°, rel. 53; 27.71°, rel. 50; 44.00°, rel. 30; 43.84°, rel. 26; 53.24°, rel. 23; 47.91°, rel. 22; 47.17°, rel. 21; 48.15°, rel. 21; 48.51°, rel. 18

Structural model:
```
6
Lattice="5.8054 0.0000 0.0000 0.0177 5.8576 0.0000 2.8877 2.7945 5.0011" Properties=species:S:1:pos:R:3 pbc="T T T"
Al 0.0000 0.0000 0.0000
Cu 2.9172 5.8402 2.4533
Br 4.2308 4.2097 3.7342
Cl 1.3412 4.6378 1.2050
Cl 4.4768 1.1940 1.2216
Cl 7.5055 7.3615 3.7502
```

Copy entry 2 word for word.
For AlFe2Bi, a DFT-relaxed cell (GGA-PBE, OQMD) gives the theoretical powder X-ray diffraction pattern in this record (copper Kα).
Intensities are scaled so that the largest is 100.

Top 12 peaks for 2θ from 10° to 90°, by intensity:
39.73°, rel. 100; 31.17°, rel. 48; 72.11°, rel. 27; 13.80°, rel. 20; 27.81°, rel. 20; 24.02°, rel. 19; 42.25°, rel. 19; 59.39°, rel. 17; 65.00°, rel. 15; 57.45°, rel. 14; 80.63°, rel. 10; 66.81°, rel. 9

Structural model:
```
16
Lattice="6.4166 0.0000 0.0000 0.0000 6.4166 0.0000 0.0000 0.0000 6.4166" Properties=species:S:1:pos:R:3 pbc="T T T"
Al 0.0000 0.0000 0.0000
Al 0.0000 0.0000 3.2083
Al 0.0000 3.2083 0.0000
Al 3.2083 0.0000 0.0000
Fe 1.3518 1.3518 1.3518
Fe 1.3518 1.3518 5.0648
Fe 1.3518 5.0648 1.3518
Fe 1.3518 5.0648 5.0648
Fe 5.0648 1.3518 1.3518
Fe 5.0648 1.3518 5.0648
Fe 5.0648 5.0648 1.3518
Fe 5.0648 5.0648 5.0648
Bi 0.0000 3.2083 3.2083
Bi 3.2083 0.0000 3.2083
Bi 3.2083 3.2083 0.0000
Bi 3.2083 3.2083 3.2083
```